# 1
# Li9Mn2Co5O16
Calculated powder diffractogram, copper Kα. Input: a structure optimized by DFT (PBE+U).
Lines closer than 0.1° are merged.

Main lines, in order of rising 2θ (10 to 90 degrees two-theta):
(hkl)  two_theta  Rel. int.
0 0 2  18.43  100
4 0 -2  35.90  13
2 1 0  36.51  26
4 0 -4  43.37  26
2 1 2  44.18  52
4 0 2  48.00  12
2 1 4  58.12  9
2 1 -6  63.37  13
6 1 -2  63.90  14
0 2 0  64.89  7

Atomic structure:
Lattice parameters (Å, degrees): 10.141 2.874 10.243 90.00 109.93 90.00
Atoms (fractional coordinates):
Li 0.000 0.000 0.000
Li 0.000 0.000 0.493
Li 0.251 0.500 0.012
Li 0.257 0.500 0.491
Li 0.489 0.000 0.018
Li 0.502 0.500 0.252
Li 0.519 0.000 0.481
Li 0.747 0.500 0.491
Li 0.752 0.500 0.989
Mn 0.248 0.000 0.754
Mn 0.747 0.000 0.243
Co 0.003 0.500 0.247
Co 0.267 0.000 0.254
Co 0.506 0.500 0.743
Co 0.755 0.000 0.740
Co 0.999 0.500 0.747
O 0.116 0.000 0.856
O 0.118 0.000 0.364
O 0.124 0.500 0.141
O 0.131 0.500 0.643
O 0.357 0.500 0.866
O 0.366 0.000 0.127
O 0.369 0.000 0.645
O 0.377 0.500 0.375
O 0.632 0.000 0.848
O 0.641 0.500 0.129
O 0.643 0.500 0.630
O 0.647 0.000 0.360
O 0.873 0.500 0.350
O 0.873 0.500 0.850
O 0.878 0.000 0.131
O 0.888 0.000 0.639

# 2
# SrVSe2O
Calculated powder diffractogram, copper Kα. Input: a structure optimized by DFT (PBE+U).
Lines closer than 0.1° are merged.

Main lines, in order of rising 2θ (10 to 90 degrees two-theta):
(hkl)  two_theta  Rel. int.
0 0 1  20.99  43
1 0 1  26.15  47
1 1 1  30.49  41
2 0 0  31.12  100
2 0 1  37.84  39
2 1 1  41.08  28
0 0 2  42.72  20
2 2 0  44.59  36
2 0 2  53.79  40
2 2 2  63.46  24

Atomic structure:
Lattice parameters (Å, degrees): 5.748 5.748 4.233 90.00 90.00 90.00
Atoms (fractional coordinates):
Sr 0.000 0.000 0.000
V 0.500 0.500 0.500
Se 0.000 0.500 0.000
Se 0.500 0.000 0.000
O 0.000 0.000 0.500